Starting from the PBE geometry in the Materials Project, the X-ray diffraction stick pattern of KEu3 was computed for Cu Kα.

Principal peaks in the range 10° ≤ 2θ ≤ 80°, low angle first:
2theta	Rel. int.
26.2	100.0
30.4	51.7
43.5	38.4
51.5	46.5
69.6	18.8
71.7	17.2

Structure:
Cell: 5.885 5.885 5.885 Å, 90.00 90.00 90.00°
Space group Pm-3m (No. 221)
Inequivalent atoms, fractional coordinates:
K: 0.000 0.000 0.000 [1 per cell]
Eu: 0.000 0.500 0.500 [3 per cell]


Starting from the PBE geometry in the Materials Project, the X-ray diffraction stick pattern of Rb3DyCl6 was computed for Cu Kα.

Principal peaks in the range 10° ≤ 2θ ≤ 80°, low angle first:
2theta	Rel. int.
13.8	55.0
15.9	31.9
22.2	31.5
22.6	73.3
23.4	100.0
32.1	84.9

Structure:
Cell: 26.154 8.009 12.966 Å, 90.00 99.59 90.00°
Space group C2/c (No. 15)
Inequivalent atoms, fractional coordinates:
Rb: 0.050 0.247 0.433 [8 per cell]
Rb: 0.154 0.188 0.144 [8 per cell]
Rb: 0.162 0.313 0.800 [8 per cell]
Dy: 0.000 0.284 0.750 [4 per cell]
Dy: 0.250 0.250 0.500 [4 per cell]
Cl: 0.058 0.275 0.934 [8 per cell]
Cl: 0.059 0.055 0.679 [8 per cell]
Cl: 0.059 0.473 0.196 [8 per cell]
Cl: 0.173 0.050 0.419 [8 per cell]
Cl: 0.177 0.460 0.535 [8 per cell]
Cl: 0.250 0.110 0.686 [8 per cell]


Starting from the PBE geometry in the Materials Project, the X-ray diffraction stick pattern of PrB12 was computed for Cu Kα.

Principal peaks in the range 10° ≤ 2θ ≤ 80°, low angle first:
2theta	Rel. int.
20.3	86.2
23.4	70.8
33.4	39.3
39.3	100.0
52.5	32.0
73.8	30.3

Structure:
Cell: 7.595 7.595 7.595 Å, 90.00 90.00 90.00°
Space group Fm-3m (No. 225)
Inequivalent atoms, fractional coordinates:
Pr: 0.000 0.000 0.000 [4 per cell]
B: 0.000 0.168 0.332 [48 per cell]


Starting from the PBE geometry in the Materials Project, the X-ray diffraction stick pattern of Mg14CrC was computed for Cu Kα.

Principal peaks in the range 10° ≤ 2θ ≤ 80°, low angle first:
2theta	Rel. int.
33.1	24.9
36.7	24.3
38.0	100.0
59.2	16.8
67.0	16.3
71.7	17.5

Structure:
Cell: 6.2477 6.2477 9.7930 Å, 90.00 90.00 120.00°
Space group P-6m2 (No. 187)
Inequivalent atoms, fractional coordinates:
Mg: 0.0000 0.0000 0.2458 [2 per cell]
Mg: 0.0164 0.5082 0.2604 [6 per cell]
Mg: 0.3278 0.1639 0.5000 [3 per cell]
Mg: 0.3386 0.1693 0.0000 [3 per cell]
Cr: 0.3333 0.6667 0.0000 [1 per cell]
C: 0.3333 0.6667 0.5000 [1 per cell]


Starting from the PBE geometry in the Materials Project, the X-ray diffraction stick pattern of K2HgSbBr6 was computed for Cu Kα.

Principal peaks in the range 10° ≤ 2θ ≤ 80°, low angle first:
2theta	Rel. int.
15.4	100.0
21.8	32.0
31.0	93.1
34.8	55.5
44.5	67.2
47.3	29.6

Structure:
Cell: 11.528 11.528 11.528 Å, 90.00 90.00 90.00°
Space group Fm-3m (No. 225)
Inequivalent atoms, fractional coordinates:
K: 0.250 0.250 0.250 [8 per cell]
Hg: 0.000 0.000 0.000 [4 per cell]
Sb: 0.000 0.000 0.500 [4 per cell]
Br: 0.000 0.000 0.257 [24 per cell]


Starting from the PBE geometry in the Materials Project, the X-ray diffraction stick pattern of La2TlHg was computed for Cu Kα.

Principal peaks in the range 10° ≤ 2θ ≤ 80°, low angle first:
2theta	Rel. int.
22.4	3.9
31.9	100.0
45.8	18.6
56.9	39.3
66.7	12.2
75.9	16.9

Structure:
Cell: 7.929 7.929 7.929 Å, 90.00 90.00 90.00°
Space group Fm-3m (No. 225)
Inequivalent atoms, fractional coordinates:
La: 0.250 0.250 0.250 [8 per cell]
Tl: 0.000 0.000 0.000 [4 per cell]
Hg: 0.000 0.000 0.500 [4 per cell]


Starting from the PBE geometry in the Materials Project, the X-ray diffraction stick pattern of Mg2Ga5 was computed for Cu Kα.

Principal peaks in the range 10° ≤ 2θ ≤ 80°, low angle first:
2theta	Rel. int.
24.7	32.4
26.1	30.1
32.7	26.3
41.7	32.9
44.3	100.0
70.4	37.9

Structure:
Cell: 8.662 8.662 7.217 Å, 90.00 90.00 90.00°
Space group I4/mmm (No. 139)
Inequivalent atoms, fractional coordinates:
Mg: 0.199 0.199 0.000 [8 per cell]
Ga: 0.000 0.000 0.210 [4 per cell]
Ga: 0.000 0.297 0.319 [16 per cell]


Starting from the PBE geometry in the Materials Project, the X-ray diffraction stick pattern of SrHgPb was computed for Cu Kα.

Principal peaks in the range 10° ≤ 2θ ≤ 80°, low angle first:
2theta	Rel. int.
21.4	28.2
29.5	84.3
35.0	100.0
38.3	47.7
41.4	32.7
59.4	46.0

Structure:
Cell: 5.1256 5.1256 8.2997 Å, 90.00 90.00 120.00°
Space group P6_3mc (No. 186)
Inequivalent atoms, fractional coordinates:
Sr: 0.0000 0.0000 0.0000 [2 per cell]
Hg: 0.3333 0.6667 0.1910 [2 per cell]
Pb: 0.3333 0.6667 0.7851 [2 per cell]


Starting from the PBE geometry in the Materials Project, the X-ray diffraction stick pattern of NaAlSi4 was computed for Cu Kα.

Principal peaks in the range 10° ≤ 2θ ≤ 80°, low angle first:
2theta	Rel. int.
14.8	55.1
32.8	56.0
36.4	45.0
41.7	80.6
42.2	100.0
76.4	33.8

Structure:
Cell: 4.334 4.334 5.996 Å, 90.00 90.00 90.00°
Space group P4mm (No. 99)
Inequivalent atoms, fractional coordinates:
Na: 0.000 0.000 0.000 [1 per cell]
Al: 0.500 0.500 0.334 [1 per cell]
Si: 0.000 0.000 0.456 [1 per cell]
Si: 0.000 0.500 0.652 [2 per cell]
Si: 0.500 0.500 0.877 [1 per cell]


Starting from the PBE geometry in the Materials Project, the X-ray diffraction stick pattern of MgHg2I6O6 was computed for Cu Kα.

Principal peaks in the range 10° ≤ 2θ ≤ 80°, low angle first:
2theta	Rel. int.
10.3	82.8
15.0	46.0
20.3	46.3
24.1	57.5
28.6	100.0
29.2	53.0

Structure:
Cell: 12.537 12.489 11.485 Å, 90.00 110.10 90.00°
Space group C2/c (No. 15)
Inequivalent atoms, fractional coordinates:
Mg: 0.000 0.103 0.250 [4 per cell]
Hg: 0.044 0.349 0.612 [8 per cell]
I: 0.098 0.387 0.144 [8 per cell]
I: 0.111 0.134 0.527 [8 per cell]
I: 0.187 0.348 0.861 [8 per cell]
O: 0.000 0.060 0.750 [4 per cell]
O: 0.000 0.328 0.250 [4 per cell]
O: 0.037 0.113 0.082 [8 per cell]
O: 0.166 0.148 0.395 [8 per cell]


Starting from the PBE geometry in the Materials Project, the X-ray diffraction stick pattern of ThBe13 was computed for Cu Kα.

Principal peaks in the range 10° ≤ 2θ ≤ 80°, low angle first:
2theta	Rel. int.
17.2	94.2
24.3	100.0
29.9	43.1
39.0	69.4
42.9	56.9
67.8	28.1

Structure:
Cell: 10.339 10.339 10.339 Å, 90.00 90.00 90.00°
Space group Fm-3c (No. 226)
Inequivalent atoms, fractional coordinates:
Th: 0.250 0.250 0.250 [8 per cell]
Be: 0.000 0.000 0.000 [8 per cell]
Be: 0.000 0.113 0.175 [96 per cell]


Starting from the PBE geometry in the Materials Project, the X-ray diffraction stick pattern of SnBr6N2 was computed for Cu Kα.

Principal peaks in the range 10° ≤ 2θ ≤ 80°, low angle first:
2theta	Rel. int.
14.5	38.5
16.8	89.7
29.3	77.6
34.0	100.0
38.1	47.6
48.8	69.8

Structure:
Cell: 10.554 10.554 10.554 Å, 90.00 90.00 90.00°
Space group Fm-3m (No. 225)
Inequivalent atoms, fractional coordinates:
Sn: 0.000 0.000 0.000 [4 per cell]
Br: 0.000 0.000 0.249 [24 per cell]
N: 0.250 0.250 0.250 [8 per cell]